# 1
Calculated powder diffraction line list of Rb2LaPbSe4 for Cu Kα (weighted mean of Kα1 and Kα2), from the GGA-PBE geometry in Alexandria.

Most intense lines, 2θ = 10–90°, low angle first:
2θ/deg  I/Imax
11.86  23.9
23.83  12.6
27.59  100.0
39.39  60.9
64.40  24.5
71.41  13.9

Crystal structure
Lattice parameters (Å, degrees): 9.1482 9.1482 9.1482 120.16 119.94 89.92
Fractional coordinates of all 16 atoms:
Rb: 0.0000 0.0000 0.0000
Rb: 0.5000 0.0000 0.0000
Rb: 0.5000 0.0000 0.5000
Rb: 0.5000 0.5000 0.5000
La: 0.0000 0.0000 0.5000
La: 0.0000 0.5000 0.0000
Pb: 0.0000 0.5000 0.5000
Pb: 0.5000 0.5000 0.0000
Se: 0.2056 0.7360 0.4696
Se: 0.2335 0.2640 0.9696
Se: 0.2357 0.2664 0.5308
Se: 0.2357 0.7049 0.9692
Se: 0.7643 0.2951 0.0308
Se: 0.7643 0.7336 0.4692
Se: 0.7665 0.7360 0.0304
Se: 0.7944 0.2640 0.5304



# 2
Calculated powder diffraction line list of La4RePb for Cu Kα (weighted mean of Kα1 and Kα2), from the GGA-PBE geometry in Alexandria.

Most intense lines, 2θ = 10–90°, low angle first:
2θ/deg  I/Imax
12.49  50.1
30.47  69.7
32.21  100.0
33.31  50.7
33.76  64.1
35.45  42.2

Crystal structure
Lattice parameters (Å, degrees): 8.4158 8.4158 6.4196 100.72 100.72 114.73
Fractional coordinates of all 12 atoms:
La: 0.0589 0.7224 0.9435
La: 0.2056 0.3508 0.6305
La: 0.2776 0.9411 0.5565
La: 0.3508 0.2056 0.1305
La: 0.6492 0.7944 0.8695
La: 0.7224 0.0589 0.4435
La: 0.7944 0.6492 0.3695
La: 0.9411 0.2776 0.0565
Re: 0.0013 0.9987 0.2500
Re: 0.9987 0.0013 0.7500
Pb: 0.3755 0.6245 0.2500
Pb: 0.6245 0.3755 0.7500



# 3
Calculated powder diffraction line list of La2RhPb8 for Cu Kα (weighted mean of Kα1 and Kα2), from the GGA-PBE geometry in Alexandria.

Most intense lines, 2θ = 10–90°, low angle first:
2θ/deg  I/Imax
29.01  35.4
32.93  100.0
34.50  20.4
36.35  56.3
50.99  27.6
63.25  31.4

Crystal structure
Lattice parameters (Å, degrees): 4.9425 4.9425 12.9969 90.00 90.00 90.00
Fractional coordinates of all 11 atoms:
La: 0.0000 0.0000 0.1910
La: 0.0000 0.0000 0.8090
Rh: 0.0000 0.0000 0.5000
Pb: 0.0000 0.5000 0.0000
Pb: 0.0000 0.5000 0.3787
Pb: 0.0000 0.5000 0.6213
Pb: 0.5000 0.0000 0.0000
Pb: 0.5000 0.0000 0.3787
Pb: 0.5000 0.0000 0.6213
Pb: 0.5000 0.5000 0.1908
Pb: 0.5000 0.5000 0.8092



# 4
Calculated powder diffraction line list of La2RhPb for Cu Kα (weighted mean of Kα1 and Kα2), from the GGA-PBE geometry in Alexandria.

Most intense lines, 2θ = 10–90°, low angle first:
2θ/deg  I/Imax
27.85  58.1
33.10  100.0
33.37  60.7
36.37  30.3
53.07  27.8
56.67  27.0

Crystal structure
Lattice parameters (Å, degrees): 8.0229 8.0229 7.4384 90.00 90.00 150.54
Fractional coordinates of all 8 atoms:
La: 0.1432 0.8568 0.5014
La: 0.1432 0.8568 0.9986
La: 0.8568 0.1432 0.0014
La: 0.8568 0.1432 0.4986
Rh: 0.3087 0.6913 0.7500
Rh: 0.6913 0.3087 0.2500
Pb: 0.4999 0.5001 0.2500
Pb: 0.5001 0.4999 0.7500



# 5
Calculated powder diffraction line list of La3RhPb2 for Cu Kα (weighted mean of Kα1 and Kα2), from the GGA-PBE geometry in Alexandria.

Most intense lines, 2θ = 10–90°, low angle first:
2θ/deg  I/Imax
27.76  86.7
29.15  88.2
31.73  82.1
34.33  100.0
35.75  71.7
39.18  88.3

Crystal structure
Lattice parameters (Å, degrees): 13.1393 4.5980 12.3233 90.00 90.00 90.00
Fractional coordinates of all 24 atoms:
La: 0.0524 0.2500 0.1298
La: 0.1191 0.7500 0.5419
La: 0.2436 0.2500 0.7932
La: 0.2564 0.7500 0.2932
La: 0.3809 0.2500 0.0419
La: 0.4476 0.7500 0.6298
La: 0.5524 0.2500 0.3702
La: 0.6191 0.7500 0.9581
La: 0.7436 0.2500 0.7068
La: 0.7564 0.7500 0.2068
La: 0.8809 0.2500 0.4581
La: 0.9476 0.7500 0.8702
Rh: 0.1283 0.2500 0.3643
Rh: 0.3717 0.7500 0.8643
Rh: 0.6283 0.2500 0.1357
Rh: 0.8717 0.7500 0.6357
Pb: 0.0022 0.2500 0.6940
Pb: 0.1900 0.7500 0.9992
Pb: 0.3100 0.2500 0.4992
Pb: 0.4978 0.7500 0.1940
Pb: 0.5022 0.2500 0.8060
Pb: 0.6900 0.7500 0.5008
Pb: 0.8100 0.2500 0.0008
Pb: 0.9978 0.7500 0.3060



# 6
Calculated powder diffraction line list of La3Rh2Pb4 for Cu Kα (weighted mean of Kα1 and Kα2), from the GGA-PBE geometry in Alexandria.

Most intense lines, 2θ = 10–90°, low angle first:
2θ/deg  I/Imax
26.33  22.9
30.65  81.1
31.20  30.1
31.43  29.6
36.38  100.0
65.48  17.7

Crystal structure
Lattice parameters (Å, degrees): 6.4069 6.4069 9.3069 111.55 111.55 45.30
Fractional coordinates of all 9 atoms:
La: 0.0000 0.0000 0.0000
La: 0.3158 0.3158 0.3840
La: 0.6842 0.6842 0.6160
Rh: 0.3980 0.3980 0.7013
Rh: 0.6020 0.6020 0.2987
Pb: 0.0104 0.0104 0.3431
Pb: 0.2814 0.2814 0.9157
Pb: 0.7186 0.7186 0.0843
Pb: 0.9896 0.9896 0.6569



# 7
Calculated powder diffraction line list of La4RhPb for Cu Kα (weighted mean of Kα1 and Kα2), from the GGA-PBE geometry in Alexandria.

Most intense lines, 2θ = 10–90°, low angle first:
2θ/deg  I/Imax
29.13  100.0
29.98  73.8
30.94  32.4
32.61  83.0
33.31  71.1
33.53  35.9

Crystal structure
Lattice parameters (Å, degrees): 6.3665 7.1874 8.5548 90.00 95.57 90.00
Fractional coordinates of all 12 atoms:
La: 0.1070 0.2500 0.0667
La: 0.1657 0.7500 0.3689
La: 0.3857 0.5094 0.7794
La: 0.3857 0.9906 0.7794
La: 0.6143 0.0094 0.2206
La: 0.6143 0.4906 0.2206
La: 0.8343 0.2500 0.6311
La: 0.8930 0.7500 0.9333
Rh: 0.3290 0.7500 0.0616
Rh: 0.6710 0.2500 0.9384
Pb: 0.2785 0.2500 0.4436
Pb: 0.7215 0.7500 0.5564



# 8
Calculated powder diffraction line list of LaRhPb5 for Cu Kα (weighted mean of Kα1 and Kα2), from the GGA-PBE geometry in Alexandria.

Most intense lines, 2θ = 10–90°, low angle first:
2θ/deg  I/Imax
27.88  35.7
34.02  100.0
36.43  56.4
50.26  24.8
63.67  28.2
64.03  33.0

Crystal structure
Lattice parameters (Å, degrees): 4.9321 4.9321 8.0455 90.00 90.00 90.00
Fractional coordinates of all 7 atoms:
La: 0.0000 0.0000 0.0000
Rh: 0.0000 0.0000 0.5000
Pb: 0.0000 0.5000 0.3034
Pb: 0.0000 0.5000 0.6966
Pb: 0.5000 0.0000 0.3034
Pb: 0.5000 0.0000 0.6966
Pb: 0.5000 0.5000 0.0000



# 9
Calculated powder diffraction line list of La6RuRhPb2 for Cu Kα (weighted mean of Kα1 and Kα2), from the GGA-PBE geometry in Alexandria.

Most intense lines, 2θ = 10–90°, low angle first:
2θ/deg  I/Imax
22.84  28.2
28.07  100.0
32.49  68.4
32.60  33.9
46.65  62.6
55.30  30.8

Crystal structure
Lattice parameters (Å, degrees): 7.7794 7.7794 7.7765 119.86 119.86 90.16
Fractional coordinates of all 10 atoms:
La: 0.0000 0.0000 0.0000
La: 0.0003 0.0003 0.4971
La: 0.0002 0.5040 0.0013
La: 0.5034 0.5034 0.5042
La: 0.5040 0.0002 0.0013
La: 0.5039 0.5039 0.0011
Ru: 0.7527 0.7527 0.0010
Rh: 0.2521 0.2521 0.0007
Pb: 0.0021 0.5019 0.5007
Pb: 0.5019 0.0021 0.5007



# 10
Calculated powder diffraction line list of LaSbRh3Pb for Cu Kα (weighted mean of Kα1 and Kα2), from the GGA-PBE geometry in Alexandria.

Most intense lines, 2θ = 10–90°, low angle first:
2θ/deg  I/Imax
22.27  34.2
26.74  100.0
32.49  31.7
44.12  69.6
44.44  54.0
44.56  53.6

Crystal structure
Lattice parameters (Å, degrees): 9.0449 9.0449 5.8210 90.00 90.00 142.66
Fractional coordinates of all 12 atoms:
La: 0.2357 0.7643 0.7500
La: 0.7643 0.2357 0.2500
Sb: 0.4103 0.5897 0.2500
Sb: 0.5897 0.4103 0.7500
Rh: 0.2468 0.2468 0.0000
Rh: 0.2468 0.2468 0.5000
Rh: 0.2599 0.7401 0.2500
Rh: 0.7401 0.2599 0.7500
Rh: 0.7532 0.7532 0.0000
Rh: 0.7532 0.7532 0.5000
Pb: 0.1032 0.8968 0.2500
Pb: 0.8968 0.1032 0.7500



# 11
Calculated powder diffraction line list of La7Ru2Pb2 for Cu Kα (weighted mean of Kα1 and Kα2), from the GGA-PBE geometry in Alexandria.

Most intense lines, 2θ = 10–90°, low angle first:
2θ/deg  I/Imax
27.26  99.3
30.68  43.4
32.00  60.3
32.11  100.0
35.59  39.5
40.26  48.3

Crystal structure
Lattice parameters (Å, degrees): 9.4020 9.4020 9.4020 152.43 71.92 115.08
Fractional coordinates of all 11 atoms:
La: 0.0000 0.0000 0.0000
La: 0.0189 0.3496 0.6693
La: 0.1684 0.7871 0.3813
La: 0.4058 0.7871 0.6187
La: 0.4968 0.5959 0.9009
La: 0.6803 0.3496 0.3307
La: 0.6951 0.5959 0.0991
Ru: 0.3350 0.3350 0.0000
Ru: 0.7948 0.2948 0.5000
Pb: 0.2928 0.0651 0.2277
Pb: 0.8374 0.0651 0.7723



# 12
Calculated powder diffraction line list of La12Ru6Pb for Cu Kα (weighted mean of Kα1 and Kα2), from the GGA-PBE geometry in Alexandria.

Most intense lines, 2θ = 10–90°, low angle first:
2θ/deg  I/Imax
29.92  27.2
32.39  100.0
44.67  30.2
51.52  18.7
54.70  31.7
63.61  17.2

Crystal structure
Lattice parameters (Å, degrees): 8.9578 8.9578 8.9578 109.47 109.47 109.47
Fractional coordinates of all 19 atoms:
La: 0.1178 0.3106 0.8072
La: 0.1928 0.5033 0.3106
La: 0.1928 0.8822 0.6894
La: 0.3106 0.1928 0.5033
La: 0.3106 0.8072 0.1178
La: 0.4967 0.6894 0.8072
La: 0.5033 0.3106 0.1928
La: 0.6894 0.1928 0.8822
La: 0.6894 0.8072 0.4967
La: 0.8072 0.1178 0.3106
La: 0.8072 0.4967 0.6894
La: 0.8822 0.6894 0.1928
Ru: 0.1326 0.5000 0.6326
Ru: 0.3674 0.8674 0.5000
Ru: 0.5000 0.3674 0.8674
Ru: 0.5000 0.6326 0.1326
Ru: 0.6326 0.1326 0.5000
Ru: 0.8674 0.5000 0.3674
Pb: 0.0000 0.0000 0.0000